Entry 1:
Ba2SrRhO5: theoretical powder X-ray diffraction pattern (a wavelength of 1.5418 Å), based on a cell relaxed with GGA-PBE.

Structural model:
Unit cell a=7.2905 b=7.2905 c=7.2905 alpha=149.35 beta=130.10 gamma=59.70
Fractional positions:
Ba1 0.2125 0.2125 0.0000
Ba2 0.7875 0.7875 0.0000
Sr1 0.5000 0.0000 0.5000
Rh1 0.0000 0.5000 0.5000
O1 0.0000 0.0000 0.0000
O2 0.1293 0.3837 0.7456
O3 0.3619 0.6163 0.7456
O4 0.6381 0.3837 0.2544
O5 0.8707 0.6163 0.2544

The 10 most intense peaks (5° ≤ 2θ ≤ 70°), sorted by position:
two_theta, d [Å], intensity
16.0, 5.531, 14
28.2, 3.162, 16
29.0, 3.075, 28
30.8, 2.901, 100
38.5, 2.339, 12
40.9, 2.204, 25
42.8, 2.114, 10
47.2, 1.927, 13
52.6, 1.740, 27
64.2, 1.451, 12

=====

Entry 2:
Ti5Cu2S10: theoretical powder X-ray diffraction pattern (a wavelength of 1.5418 Å), based on a cell relaxed with GGA-PBE.

Structural model:
Unit cell a=5.8938 b=6.8197 c=8.3344 alpha=107.61 beta=110.28 gamma=90.51
Fractional positions:
Ti1 0.0000 0.0000 0.0000
Ti2 0.2002 0.3996 0.4026
Ti3 0.3972 0.7993 0.8018
Ti4 0.6028 0.2007 0.1982
Ti5 0.7998 0.6004 0.5974
Cu1 0.1107 0.7163 0.2176
Cu2 0.8893 0.2837 0.7824
S1 0.0197 0.9459 0.7001
S2 0.1815 0.4514 0.6988
S3 0.2209 0.3503 0.1009
S4 0.3828 0.8546 0.1002
S5 0.4218 0.7491 0.5056
S6 0.5782 0.2509 0.4944
S7 0.6172 0.1454 0.8998
S8 0.7791 0.6497 0.8991
S9 0.8185 0.5486 0.3012
S10 0.9803 0.0541 0.2999

The 10 most intense peaks (5° ≤ 2θ ≤ 70°), sorted by position:
two_theta, d [Å], intensity
15.0, 5.904, 26
16.2, 5.475, 33
30.3, 2.952, 44
33.9, 2.648, 54
34.0, 2.637, 73
43.2, 2.095, 100
43.4, 2.083, 70
43.6, 2.075, 33
53.7, 1.707, 27
53.8, 1.703, 57

=====

Entry 3:
NaHg6Pd5: theoretical powder X-ray diffraction pattern (a wavelength of 1.5418 Å), based on a cell relaxed with GGA-PBE.

Structural model:
Unit cell a=8.0350 b=8.0350 c=8.5260 alpha=90.00 beta=90.00 gamma=120.00
Fractional positions:
Na1 0.0000 0.0000 0.2500
Na2 0.0000 0.0000 0.7500
Hg1 0.0000 0.3260 0.0851
Hg2 0.0000 0.3260 0.4149
Hg3 0.0000 0.6740 0.5851
Hg4 0.0000 0.6740 0.9149
Hg5 0.3260 0.0000 0.0851
Hg6 0.3260 0.0000 0.4149
Hg7 0.3260 0.3260 0.5851
Hg8 0.3260 0.3260 0.9149
Hg9 0.6740 0.0000 0.5851
Hg10 0.6740 0.0000 0.9149
Hg11 0.6740 0.6740 0.0851
Hg12 0.6740 0.6740 0.4149
Pd1 0.0000 0.3555 0.7500
Pd2 0.0000 0.6445 0.2500
Pd3 0.3333 0.6667 0.0000
Pd4 0.3333 0.6667 0.5000
Pd5 0.3555 0.0000 0.7500
Pd6 0.3555 0.3555 0.2500
Pd7 0.6445 0.0000 0.2500
Pd8 0.6445 0.6445 0.7500
Pd9 0.6667 0.3333 0.0000
Pd10 0.6667 0.3333 0.5000

The 10 most intense peaks (5° ≤ 2θ ≤ 70°), sorted by position:
two_theta, d [Å], intensity
20.8, 4.263, 5
22.1, 4.017, 17
24.5, 3.634, 7
33.2, 2.695, 2
38.8, 2.320, 100
44.5, 2.037, 5
45.1, 2.009, 3
48.3, 1.883, 3
56.1, 1.640, 18
62.1, 1.495, 2

=====

Entry 4:
Er2Bi3: theoretical powder X-ray diffraction pattern (a wavelength of 1.5418 Å), based on a cell relaxed with GGA-PBE.

Structural model:
Unit cell a=11.8860 b=11.8860 c=11.8860 alpha=19.37 beta=19.37 gamma=19.37
Fractional positions:
Er1 0.1084 0.1084 0.1084
Er2 0.8916 0.8916 0.8916
Bi1 0.2907 0.2907 0.2907
Bi2 0.5000 0.5000 0.5000
Bi3 0.7093 0.7093 0.7093

The 10 most intense peaks (5° ≤ 2θ ≤ 70°), sorted by position:
two_theta, d [Å], intensity
28.8, 3.103, 100
33.0, 2.714, 5
36.5, 2.461, 45
38.6, 2.332, 9
42.6, 2.125, 7
45.4, 1.999, 31
54.6, 1.681, 17
59.6, 1.552, 11
61.1, 1.518, 15
67.2, 1.393, 12

=====

Entry 5:
Sr8LiHg2: theoretical powder X-ray diffraction pattern (a wavelength of 1.5418 Å), based on a cell relaxed with GGA-PBE.

Structural model:
Unit cell a=9.2098 b=9.2098 c=6.5119 alpha=98.75 beta=98.75 gamma=111.71
Fractional positions:
Sr1 0.0000 0.0000 0.0000
Sr2 0.0490 0.3103 0.6048
Sr3 0.1390 0.6191 0.1959
Sr4 0.3103 0.0490 0.6048
Sr5 0.4482 0.7093 0.7871
Sr6 0.6191 0.1390 0.1959
Sr7 0.7093 0.4482 0.7871
Sr8 0.7598 0.7598 0.3923
Li1 0.3802 0.3802 0.1902
Hg1 0.0653 0.6932 0.6962
Hg2 0.6932 0.0653 0.6962

The 10 most intense peaks (5° ≤ 2θ ≤ 70°), sorted by position:
two_theta, d [Å], intensity
10.6, 8.333, 49
11.6, 7.622, 47
14.1, 6.268, 75
21.3, 4.167, 50
25.7, 3.471, 82
27.4, 3.254, 100
30.8, 2.899, 41
32.2, 2.780, 76
32.8, 2.727, 42
38.1, 2.364, 49

=====

Entry 6:
Pa2Si3Ir5: theoretical powder X-ray diffraction pattern (a wavelength of 1.5418 Å), based on a cell relaxed with GGA-PBE.

Structural model:
Unit cell a=8.4765 b=8.4765 c=8.4765 alpha=112.43 beta=80.93 gamma=140.91
Fractional positions:
Pa1 0.1353 0.2329 0.3682
Pa2 0.3647 0.7329 0.0976
Pa3 0.6353 0.2671 0.9024
Pa4 0.8647 0.7671 0.6318
Si1 0.1054 0.6429 0.7482
Si2 0.2500 0.2500 0.0000
Si3 0.3946 0.1429 0.5375
Si4 0.6054 0.8571 0.4625
Si5 0.7500 0.7500 0.0000
Si6 0.8946 0.3571 0.2518
Ir1 0.0322 0.7500 0.2822
Ir2 0.1265 0.8863 0.0127
Ir3 0.2500 0.7500 0.5000
Ir4 0.3735 0.3863 0.7598
Ir5 0.4678 0.7500 0.7178
Ir6 0.5322 0.2500 0.2822
Ir7 0.6265 0.6137 0.2402
Ir8 0.7500 0.2500 0.5000
Ir9 0.8735 0.1137 0.9873
Ir10 0.9678 0.2500 0.7178

The 10 most intense peaks (5° ≤ 2θ ≤ 70°), sorted by position:
two_theta, d [Å], intensity
29.3, 3.053, 24
33.7, 2.660, 100
35.5, 2.529, 90
36.1, 2.488, 32
37.0, 2.430, 68
42.4, 2.130, 85
53.1, 1.724, 18
54.2, 1.693, 25
58.8, 1.571, 22
68.2, 1.375, 21